For MgTi6N4O6, a structure optimized by DFT (PBE) gives the simulated XRD peak list in this record (Cu Kα (λ = 1.5418 Å)).
Intensities are scaled so that the largest is 100.

```
data_MgTi6N4O6
_chemical_formula_sum 'Mg2 Ti12 N8 O12'
_cell_length_a 10.091
_cell_length_b 3.804
_cell_length_c 10.121
_cell_angle_alpha 90.00
_cell_angle_beta 92.95
_cell_angle_gamma 90.00
_space_group_name_H-M_alt 'C 1 m 1'
_space_group_IT_number 8
loop_
_space_group_symop_operation_xyz
'x,y,z'
'x,-y,z'
'x+1/2,y+1/2,z'
'x+1/2,-y+1/2,z'
loop_
_atom_site_label
_atom_site_type_symbol
_atom_site_fract_x
_atom_site_fract_y
_atom_site_fract_z
_atom_site_occupancy
Mg1 Mg 0.000 0.000 0.000 1
Ti1 Ti 0.125 0.500 0.237 1
Ti2 Ti 0.145 0.500 0.818 1
Ti3 Ti 0.194 0.500 0.524 1
Ti4 Ti 0.292 0.000 0.033 1
Ti5 Ti 0.359 0.000 0.327 1
Ti6 Ti 0.373 0.000 0.725 1
N1 N 0.039 0.500 0.400 1
N2 N 0.162 0.000 0.172 1
N3 N 0.308 0.500 0.705 1
N4 N 0.467 0.000 0.897 1
O1 O 0.046 0.500 0.654 1
O2 O 0.174 0.000 0.860 1
O3 O 0.254 0.000 0.516 1
O4 O 0.288 0.500 0.005 1
O5 O 0.308 0.500 0.348 1
O6 O 0.445 0.000 0.154 1
```

Most intense lines, 10 to 90 degrees two-theta, most intense first:
d (Å)  I (rel.)  (hkl)
3.559  100.0  1 1 0
1.902  60.8  0 2 0
2.737  57.7  2 0 3
5.041  50.3  2 0 0
2.870  43.6  2 0 -3
2.304  41.4  4 0 -2
2.518  37.0  3 1 0
2.211  34.8  4 0 2
2.935  28.1  1 1 -2
3.376  24.1  1 1 -1
2.470  23.2  1 1 -3
1.750  21.7  3 1 4

***

For MgOsN2, a structure optimized by DFT (PBE) gives the simulated XRD peak list in this record (Cu Kα (λ = 1.5418 Å)).
Intensities are scaled so that the largest is 100.

```
data_MgOsN2
_chemical_formula_sum 'Mg4 Os4 N8'
_cell_length_a 5.446
_cell_length_b 6.702
_cell_length_c 5.528
_cell_angle_alpha 90.00
_cell_angle_beta 90.00
_cell_angle_gamma 90.00
_space_group_name_H-M_alt 'P n a 21'
_space_group_IT_number 33
loop_
_space_group_symop_operation_xyz
'x,y,z'
'-x,-y,z+1/2'
'-x+1/2,y+1/2,z+1/2'
'x+1/2,-y+1/2,z'
loop_
_atom_site_label
_atom_site_type_symbol
_atom_site_fract_x
_atom_site_fract_y
_atom_site_fract_z
_atom_site_occupancy
Mg1 Mg 0.098 0.122 0.000 1
Os1 Os 0.056 0.657 0.027 1
N1 N 0.046 0.601 0.366 1
N2 N 0.114 0.118 0.381 1
```

Most intense lines, 10 to 90 degrees two-theta, most intense first:
d (Å)  I (rel.)  (hkl)
4.265  100.0  0 1 1
2.536  78.7  1 2 1
2.764  36.2  0 0 2
4.226  35.5  1 1 0
2.295  25.3  2 1 1
1.548  23.4  1 2 3
2.723  22.6  2 0 0
2.443  21.9  2 0 1
1.382  19.7  0 0 4
1.655  19.6  1 3 2
2.067  18.9  1 3 0
1.939  17.4  2 0 2

***

For Mg2OsN3, a structure optimized by DFT (PBE) gives the simulated XRD peak list in this record (Cu Kα (λ = 1.5418 Å)).
Intensities are scaled so that the largest is 100.

```
data_Mg2OsN3
_chemical_formula_sum 'Mg8 Os4 N12'
_cell_length_a 10.138
_cell_length_b 5.941
_cell_length_c 5.206
_cell_angle_alpha 90.00
_cell_angle_beta 90.00
_cell_angle_gamma 90.00
_space_group_name_H-M_alt 'C m c 21'
_space_group_IT_number 36
loop_
_space_group_symop_operation_xyz
'x,y,z'
'-x,-y,z+1/2'
'-x,y,z'
'x,-y,z+1/2'
'x+1/2,y+1/2,z'
'-x+1/2,-y+1/2,z+1/2'
'-x+1/2,y+1/2,z'
'x+1/2,-y+1/2,z+1/2'
loop_
_atom_site_label
_atom_site_type_symbol
_atom_site_fract_x
_atom_site_fract_y
_atom_site_fract_z
_atom_site_occupancy
Mg1 Mg 0.163 0.176 0.000 1
Os1 Os 0.000 0.308 0.511 1
N1 N 0.000 0.380 0.878 1
N2 N 0.157 0.168 0.408 1
```

Most intense lines, 10 to 90 degrees two-theta, most intense first:
d (Å)  I (rel.)  (hkl)
3.653  100.0  1 1 1
2.559  75.6  3 1 1
5.069  62.1  2 0 0
2.603  26.9  0 0 2
2.971  21.0  0 2 0
1.428  20.3  3 3 2
2.316  19.4  2 0 2
1.494  17.0  3 1 3
2.580  16.7  0 2 1
2.937  15.8  3 1 0
5.126  15.4  1 1 0
1.709  14.9  3 3 0

***

For MgOsN, a structure optimized by DFT (PBE) gives the simulated XRD peak list in this record (Cu Kα (λ = 1.5418 Å)).
Intensities are scaled so that the largest is 100.

```
data_MgOsN
_chemical_formula_sum 'Mg8 Os8 N8'
_cell_length_a 15.689
_cell_length_b 2.852
_cell_length_c 9.219
_cell_angle_alpha 90.00
_cell_angle_beta 119.58
_cell_angle_gamma 90.00
_space_group_name_H-M_alt 'C 1 2/m 1'
_space_group_IT_number 12
loop_
_space_group_symop_operation_xyz
'x,y,z'
'-x,-y,-z'
'-x,y,-z'
'x,-y,z'
'x+1/2,y+1/2,z'
'-x+1/2,-y+1/2,-z'
'-x+1/2,y+1/2,-z'
'x+1/2,-y+1/2,z'
loop_
_atom_site_label
_atom_site_type_symbol
_atom_site_fract_x
_atom_site_fract_y
_atom_site_fract_z
_atom_site_occupancy
Mg1 Mg 0.104 0.000 0.174 1
Mg2 Mg 0.132 0.000 0.574 1
Os1 Os 0.084 0.000 0.834 1
Os2 Os 0.239 0.500 0.869 1
N1 N 0.043 0.000 0.331 1
N2 N 0.218 0.500 0.247 1
```

Most intense lines, 10 to 90 degrees two-theta, most intense first:
d (Å)  I (rel.)  (hkl)
8.018  100.0  0 0 1
7.256  92.4  2 0 -1
2.361  30.6  3 1 -2
1.954  27.1  5 1 -3
2.673  22.8  0 0 3
4.583  18.4  2 0 -2
2.162  18.1  3 1 1
2.274  16.5  6 0 0
2.792  16.2  1 1 0
2.502  15.9  3 1 -1
1.865  15.6  3 1 2
6.823  14.0  2 0 0

***

For Mg2PdN2, a structure optimized by DFT (PBE) gives the simulated XRD peak list in this record (Cu Kα (λ = 1.5418 Å)).
Intensities are scaled so that the largest is 100.

```
data_Mg2PdN2
_chemical_formula_sum 'Mg4 Pd2 N4'
_cell_length_a 3.058
_cell_length_b 3.058
_cell_length_c 12.812
_cell_angle_alpha 90.00
_cell_angle_beta 90.00
_cell_angle_gamma 90.00
_space_group_name_H-M_alt 'I 4/m m m'
_space_group_IT_number 139
_space_group_name_Hall '-I 4 2'
loop_
_atom_site_label
_atom_site_type_symbol
_atom_site_fract_x
_atom_site_fract_y
_atom_site_fract_z
_atom_site_occupancy
Mg1 Mg 0.000 0.000 0.169 1
Pd1 Pd 0.000 0.000 0.500 1
N1 N 0.000 0.000 0.343 1
```

Most intense lines, 10 to 90 degrees two-theta, most intense first:
d (Å)  I (rel.)  (hkl)
2.486  100.0  1 0 3
2.974  90.5  1 0 1
6.406  68.9  0 0 2
2.162  63.6  1 1 0
1.519  37.7  1 1 6
2.135  29.9  0 0 6
1.302  27.1  2 1 3
1.964  19.9  1 0 5
1.529  19.6  2 0 0
1.243  18.4  2 0 6
2.049  16.4  1 1 2
1.570  14.6  1 0 7

***

For MgReN2, a structure optimized by DFT (PBE) gives the simulated XRD peak list in this record (Cu Kα (λ = 1.5418 Å)).
Intensities are scaled so that the largest is 100.

```
data_MgReN2
_chemical_formula_sum 'Mg4 Re4 N8'
_cell_length_a 5.856
_cell_length_b 6.433
_cell_length_c 5.482
_cell_angle_alpha 90.00
_cell_angle_beta 90.00
_cell_angle_gamma 90.00
_space_group_name_H-M_alt 'P n a 21'
_space_group_IT_number 33
loop_
_space_group_symop_operation_xyz
'x,y,z'
'-x,-y,z+1/2'
'-x+1/2,y+1/2,z+1/2'
'x+1/2,-y+1/2,z'
loop_
_atom_site_label
_atom_site_type_symbol
_atom_site_fract_x
_atom_site_fract_y
_atom_site_fract_z
_atom_site_occupancy
Mg1 Mg 0.076 0.123 0.000 1
Re1 Re 0.059 0.619 0.992 1
N1 N 0.098 0.622 0.344 1
N2 N 0.122 0.138 0.388 1
```

Most intense lines, 10 to 90 degrees two-theta, most intense first:
d (Å)  I (rel.)  (hkl)
2.507  100.0  1 2 1
4.330  76.3  1 1 0
4.172  67.6  0 1 1
2.741  43.6  0 0 2
1.999  30.5  2 0 2
1.533  28.7  1 2 3
2.928  28.5  2 0 0
2.316  27.7  1 1 2
2.583  27.5  2 0 1
1.669  19.6  3 2 0
2.819  19.6  1 2 0
1.425  19.2  3 2 2